Structure and simulated PXRD pattern of AlAs2Os2 (DFT lattice parameters and positions (GGA-PBE); Cu Ka).

Peak list (6 most intense, 15° ≤ 2θ ≤ 90°, most intense first)
41.47 deg, I 100, hkl 2 1 1
38.24 deg, I 39, hkl 3 1 0
16.85 deg, I 36, hkl 1 1 0
26.78 deg, I 27, hkl 2 1 0
76.45 deg, I 25, hkl 5 2 1
48.95 deg, I 16, hkl 4 0 0

Structure:
```
10
Lattice="7.4431 0.0000 0.0000 0.0000 7.4431 0.0000 0.0000 0.0000 2.8789" Properties=species:S:1:pos:R:3 pbc="T T T"
Al 0.0000 0.0000 0.0000
Al 3.7216 3.7216 0.0000
As 1.0594 2.6622 0.0000
As 2.6622 6.3838 0.0000
As 4.7809 1.0594 0.0000
As 6.3838 4.7809 0.0000
Os 1.1297 4.8513 1.4394
Os 2.5919 1.1297 1.4394
Os 4.8513 6.3134 1.4394
Os 6.3134 2.5919 1.4394
```

=====

Structure and simulated PXRD pattern of SiPOsRuC (DFT lattice parameters and positions (GGA-PBE); Cu Ka).

Peak list (6 most intense, 15° ≤ 2θ ≤ 90°, most intense first)
20.43 deg, I 100, hkl 1 0 0
36.21 deg, I 76, hkl 0 1 1
37.67 deg, I 65, hkl 1 0 -2
39.98 deg, I 60, hkl 1 1 -1
43.81 deg, I 54, hkl 1 1 1
35.93 deg, I 30, hkl 0 0 2

Structure:
```
5
Lattice="4.4413 0.0000 0.0000 0.0000 2.8573 0.0000 -1.0420 0.0000 4.9987" Properties=species:S:1:pos:R:3 pbc="T T T"
Si 0.0000 0.0000 0.0000
P 3.6632 0.0000 2.1366
Os 0.9452 0.0000 3.7613
Ru 1.9126 1.4286 1.4564
C 2.0876 1.4286 4.7460
```

=====

Structure and simulated PXRD pattern of Pm4Pr2Tl (DFT lattice parameters and positions (GGA-PBE); Cu Ka).

Peak list (6 most intense, 15° ≤ 2θ ≤ 90°, most intense first)
31.91 deg, I 100, hkl 2 1 1
31.14 deg, I 69, hkl 1 3 1
34.40 deg, I 65, hkl 1 2 -2
31.38 deg, I 63, hkl 0 2 2
28.89 deg, I 45, hkl 2 1 0
35.55 deg, I 44, hkl 1 4 0

Structure:
```
14
Lattice="6.4413 0.0000 0.0000 0.0000 10.9788 0.0000 -0.0024 0.0000 6.6728" Properties=species:S:1:pos:R:3 pbc="T T T"
Pm 0.4546 1.6869 3.3259
Pm 0.4534 3.8025 6.6623
Pm 2.5430 8.2283 5.0055
Pm 2.5442 8.2399 1.6691
Pm 3.8947 2.7389 5.0036
Pm 3.8959 2.7505 1.6673
Pm 5.9854 7.1763 0.0105
Pm 5.9842 9.2919 3.3469
Pr 1.5682 0.4670 6.6616
Pr 1.5695 5.0224 3.3252
Pr 4.8694 5.9564 3.3475
Pr 4.8706 10.5118 0.0112
Tl 3.2194 0.0000 3.3364
Tl 3.2206 5.4894 0.0000
```